1.
This entry pairs a crystal structure of PrCoSb3 with its computed X-ray diffraction stick pattern. Radiation: Cu Kα (λ = 1.5418 Å). Structure: the PBE geometry in the Materials Project.
No peak broadening, texture or thermal motion is included.

Most intense lines, 2θ = 10–90°, by intensity:
34.71°, I 100.0; 41.55°, I 74.4; 32.00°, I 61.2; 32.56°, I 42.6; 36.21°, I 32.0; 27.76°, I 28.9

Structural model:
Unit cell a=12.855 b=6.212 c=12.170 alpha=90.00 beta=90.00 gamma=90.00
Fractional positions:
Pr: 0.197 0.224 0.250
Pr: 0.197 0.276 0.750
Pr: 0.201 0.750 0.000
Pr: 0.201 0.750 0.500
Pr: 0.799 0.250 0.000
Pr: 0.799 0.250 0.500
Pr: 0.803 0.724 0.250
Pr: 0.803 0.776 0.750
Co: 0.403 0.038 0.636
Co: 0.403 0.038 0.864
Co: 0.403 0.462 0.136
Co: 0.403 0.462 0.364
Co: 0.597 0.538 0.636
Co: 0.597 0.538 0.864
Co: 0.597 0.962 0.136
Co: 0.597 0.962 0.364
Sb: 0.002 0.013 0.624
Sb: 0.002 0.013 0.876
Sb: 0.002 0.487 0.124
Sb: 0.002 0.487 0.376
Sb: 0.283 0.250 0.000
Sb: 0.283 0.250 0.500
Sb: 0.288 0.732 0.250
Sb: 0.288 0.768 0.750
Sb: 0.445 0.115 0.250
Sb: 0.445 0.385 0.750
Sb: 0.472 0.750 0.000
Sb: 0.472 0.750 0.500
Sb: 0.528 0.250 0.000
Sb: 0.528 0.250 0.500
Sb: 0.555 0.615 0.250
Sb: 0.555 0.885 0.750
Sb: 0.712 0.232 0.250
Sb: 0.712 0.268 0.750
Sb: 0.717 0.750 0.000
Sb: 0.717 0.750 0.500
Sb: 0.998 0.513 0.624
Sb: 0.998 0.513 0.876
Sb: 0.998 0.987 0.124
Sb: 0.998 0.987 0.376

=====

2.
This entry pairs a crystal structure of AlMo3 with its computed X-ray diffraction stick pattern. Radiation: Cu Kα (λ = 1.5418 Å). Structure: the PBE geometry in the Materials Project.
No peak broadening, texture or thermal motion is included.

Most intense lines, 2θ = 10–90°, by intensity:
40.51°, I 100.0; 44.58°, I 30.6; 25.30°, I 23.2; 67.87°, I 20.8; 70.81°, I 15.0; 64.87°, I 14.7

Structural model:
Unit cell a=4.979 b=4.979 c=4.979 alpha=90.00 beta=90.00 gamma=90.00
Fractional positions:
Al: 0.000 0.000 0.000
Al: 0.500 0.500 0.500
Mo: 0.000 0.250 0.500
Mo: 0.000 0.750 0.500
Mo: 0.250 0.500 0.000
Mo: 0.500 0.000 0.250
Mo: 0.500 0.000 0.750
Mo: 0.750 0.500 0.000

=====

3.
This entry pairs a crystal structure of BaTi6O13 with its computed X-ray diffraction stick pattern. Radiation: Cu Kα (λ = 1.5418 Å). Structure: the PBE geometry in the Materials Project.
No peak broadening, texture or thermal motion is included.

Most intense lines, 2θ = 10–90°, by intensity:
27.28°, I 100.0; 28.87°, I 58.0; 30.84°, I 43.0; 40.20°, I 39.0; 41.29°, I 34.8; 52.39°, I 27.6

Structural model:
Unit cell a=7.571 b=7.625 c=10.005 alpha=72.37 beta=74.46 gamma=60.73
Fractional positions:
Ba: 0.176 0.031 0.132
Ba: 0.824 0.969 0.868
Ti: 0.093 0.154 0.504
Ti: 0.182 0.372 0.751
Ti: 0.252 0.509 0.280
Ti: 0.293 0.540 0.981
Ti: 0.369 0.725 0.504
Ti: 0.421 0.915 0.769
Ti: 0.579 0.085 0.231
Ti: 0.631 0.275 0.496
Ti: 0.707 0.460 0.019
Ti: 0.748 0.491 0.720
Ti: 0.818 0.628 0.249
Ti: 0.907 0.846 0.496
O: 0.048 0.413 0.374
O: 0.063 0.674 0.141
O: 0.102 0.874 0.599
O: 0.133 0.540 0.872
O: 0.191 0.711 0.376
O: 0.223 0.151 0.639
O: 0.240 0.828 0.891
O: 0.331 0.989 0.388
O: 0.346 0.291 0.139
O: 0.373 0.130 0.852
O: 0.381 0.445 0.609
O: 0.444 0.582 0.117
O: 0.483 0.277 0.366
O: 0.517 0.723 0.634
O: 0.556 0.418 0.883
O: 0.619 0.555 0.391
O: 0.627 0.870 0.148
O: 0.654 0.709 0.861
O: 0.669 0.011 0.612
O: 0.760 0.172 0.109
O: 0.777 0.849 0.361
O: 0.809 0.289 0.624
O: 0.867 0.460 0.128
O: 0.898 0.126 0.401
O: 0.937 0.326 0.859
O: 0.952 0.587 0.626

=====

4.
This entry pairs a crystal structure of Er2CN2O2 with its computed X-ray diffraction stick pattern. Radiation: Cu Kα (λ = 1.5418 Å). Structure: the PBE geometry in the Materials Project.
No peak broadening, texture or thermal motion is included.

Most intense lines, 2θ = 10–90°, by intensity:
30.02°, I 100.0; 10.84°, I 52.7; 35.68°, I 45.0; 49.38°, I 27.8; 53.27°, I 24.7; 60.64°, I 20.5

Structural model:
Unit cell a=3.691 b=3.691 c=8.160 alpha=90.00 beta=90.00 gamma=120.00
Fractional positions:
Er: 0.333 0.667 0.324
Er: 0.667 0.333 0.676
C: 0.000 0.000 0.000
N: 0.000 0.000 0.151
N: 0.000 0.000 0.849
O: 0.333 0.667 0.603
O: 0.667 0.333 0.397

=====

5.
This entry pairs a crystal structure of Li2CuF5 with its computed X-ray diffraction stick pattern. Radiation: Cu Kα (λ = 1.5418 Å). Structure: the PBE geometry in the Materials Project.
No peak broadening, texture or thermal motion is included.

Most intense lines, 2θ = 10–90°, by intensity:
15.88°, I 100.0; 20.60°, I 37.6; 24.33°, I 31.3; 39.54°, I 25.6; 44.99°, I 21.9; 63.87°, I 18.1

Structural model:
Unit cell a=7.317 b=8.625 c=2.913 alpha=90.00 beta=90.00 gamma=90.00
Fractional positions:
Li: 0.064 0.142 0.000
Li: 0.436 0.642 0.000
Li: 0.564 0.358 0.000
Li: 0.936 0.858 0.000
Cu: 0.000 0.500 0.500
Cu: 0.500 0.000 0.500
F: 0.000 0.000 0.500
F: 0.094 0.296 0.500
F: 0.164 0.558 0.000
F: 0.336 0.058 0.000
F: 0.406 0.796 0.500
F: 0.500 0.500 0.500
F: 0.594 0.204 0.500
F: 0.664 0.942 0.000
F: 0.836 0.442 0.000
F: 0.906 0.704 0.500

=====

6.
This entry pairs a crystal structure of CdC2S2N8Cl2 with its computed X-ray diffraction stick pattern. Radiation: Cu Kα (λ = 1.5418 Å). Structure: the PBE geometry in the Materials Project.
No peak broadening, texture or thermal motion is included.

Most intense lines, 2θ = 10–90°, by intensity:
15.61°, I 100.0; 22.21°, I 76.0; 11.79°, I 75.0; 13.37°, I 62.2; 24.89°, I 52.8; 10.17°, I 38.6

Structural model:
Unit cell a=10.232 b=6.285 c=15.578 alpha=90.00 beta=121.77 gamma=90.00
Fractional positions:
Cd: 0.000 0.000 0.000
Cd: 0.000 0.500 0.500
C: 0.488 0.016 0.132
C: 0.488 0.484 0.632
C: 0.512 0.516 0.368
C: 0.512 0.984 0.868
S: 0.364 0.659 0.611
S: 0.364 0.841 0.111
S: 0.636 0.159 0.889
S: 0.636 0.341 0.389
N: 0.141 0.207 0.425
N: 0.141 0.293 0.925
N: 0.261 0.157 0.451
N: 0.261 0.343 0.951
N: 0.327 0.713 0.844
N: 0.327 0.787 0.344
N: 0.418 0.652 0.356
N: 0.418 0.848 0.856
N: 0.582 0.152 0.144
N: 0.582 0.348 0.644
N: 0.673 0.213 0.656
N: 0.673 0.287 0.156
N: 0.739 0.657 0.049
N: 0.739 0.843 0.549
N: 0.859 0.707 0.075
N: 0.859 0.793 0.575
Cl: 0.078 0.236 0.134
Cl: 0.078 0.264 0.634
Cl: 0.922 0.736 0.366
Cl: 0.922 0.764 0.866